1.
The following is a simulated powder diffractogram of SmThGeSe. It was derived from the PBE geometry in Alexandria, using Cu Kα, 1.54184 Å.

Cell and atoms:
a b c (Å): 4.2667 4.2667 20.6541
angles (deg): 90.00 90.00 120.00
Space group R3m (No. 160, hexagonal axes)
Inequivalent atoms, fractional coordinates:
Sm1 0.0000 0.0000 0.0000
Th1 0.0000 0.0000 0.4927
Ge1 0.0000 0.0000 0.7463
Se1 0.0000 0.0000 0.2471

Top 12 peaks for 10° ≤ 2θ ≤ 90°, low angle first:
2θ/deg, intensity
25.60, 242
25.88, 77
29.73, 1000
42.37, 386
42.73, 369
50.32, 81
52.61, 205
61.74, 125
69.76, 177
70.27, 165
77.50, 66
77.74, 129

***

2.
The following is a simulated powder diffractogram of Cs3GaSb4. It was derived from the PBE geometry in Alexandria, using Cu Kα, 1.54184 Å.

Cell and atoms:
a b c (Å): 6.5752 9.6518 10.4830
angles (deg): 90.00 90.00 90.00
Space group Imm2 (No. 44)
Inequivalent atoms, fractional coordinates:
Cs1 0.0000 0.0000 0.0000
Cs2 0.0000 0.2460 0.3631
Ga1 0.0000 0.5000 0.9273
Sb1 0.0000 0.3405 0.7081
Sb2 0.2171 0.0000 0.6301

Top 12 peaks for 10° ≤ 2θ ≤ 90°, low angle first:
2θ/deg, intensity
23.58, 238
24.40, 881
25.08, 614
27.13, 416
28.97, 1000
29.95, 555
32.14, 243
34.50, 252
37.27, 332
48.25, 245
50.01, 360
55.95, 279

***

3.
The following is a simulated powder diffractogram of Tb5Al2Sn. It was derived from the PBE geometry in Alexandria, using Cu Kα, 1.54184 Å.

Cell and atoms:
a b c (Å): 8.0552 8.0552 13.5723
angles (deg): 90.00 90.00 90.00
Space group I4/mcm (No. 140)
Inequivalent atoms, fractional coordinates:
Tb1 0.0000 0.0000 0.0000
Tb2 0.1655 0.3345 0.1469
Al1 0.1248 0.3752 0.5000
Sn1 0.0000 0.0000 0.2500

Top 12 peaks for 10° ≤ 2θ ≤ 90°, low angle first:
2θ/deg, intensity
25.58, 458
30.67, 359
31.41, 205
31.75, 1000
34.57, 506
35.23, 642
46.99, 118
50.91, 215
52.87, 134
53.68, 182
55.46, 281
65.75, 129

***

4.
The following is a simulated powder diffractogram of AcPtAu11. It was derived from the PBE geometry in Alexandria, using Cu Kα, 1.54184 Å.

Cell and atoms:
a b c (Å): 5.6729 13.6765 7.1744
angles (deg): 90.00 111.42 90.00
Space group C2/m (No. 12)
Inequivalent atoms, fractional coordinates:
Ac1 0.0000 0.0000 0.0000
Pt1 0.0000 0.0000 0.5000
Au1 0.0000 0.5000 0.5000
Au2 0.1078 0.3921 0.2167
Au3 0.1564 0.1729 0.3528
Au4 0.2500 0.2500 0.0000

Top 12 peaks for 10° ≤ 2θ ≤ 90°, low angle first:
2θ/deg, intensity
31.91, 371
32.56, 311
36.48, 529
37.01, 418
37.24, 992
37.33, 371
37.65, 1000
38.27, 399
41.09, 370
41.37, 621
41.88, 413
42.73, 406

***

5.
The following is a simulated powder diffractogram of RbLiUBr6. It was derived from the PBE geometry in Alexandria, using Cu Kα, 1.54184 Å.

Cell and atoms:
a b c (Å): 7.2336 7.2336 15.4780
angles (deg): 90.00 90.00 120.00
Space group P-31c (No. 163)
Inequivalent atoms, fractional coordinates:
Rb1 0.0000 0.0000 0.0000
Li1 0.3333 0.6667 0.2500
U1 0.3333 0.6667 0.7500
Br1 0.0010 0.3716 0.6456

Top 12 peaks for 10° ≤ 2θ ≤ 90°, low angle first:
2θ/deg, intensity
11.43, 506
15.26, 793
18.22, 709
22.32, 328
27.22, 911
29.09, 171
33.93, 1000
39.81, 256
43.07, 292
43.34, 491
56.14, 192
73.47, 172

***

6.
The following is a simulated powder diffractogram of Ba3NdZn2O6. It was derived from the PBE geometry in Alexandria, using Cu Kα, 1.54184 Å.

Cell and atoms:
a b c (Å): 6.2729 6.2729 7.1049
angles (deg): 90.00 90.00 120.00
Space group P-3m1 (No. 164)
Inequivalent atoms, fractional coordinates:
Ba1 0.0000 0.0000 0.0000
Ba2 0.3333 0.6667 0.6409
Nd1 0.0000 0.0000 0.5000
Zn1 0.3333 0.6667 0.1936
O1 0.1696 0.3391 0.2997

Top 12 peaks for 10° ≤ 2θ ≤ 90°, low angle first:
2θ/deg, intensity
12.46, 148
28.46, 1000
30.06, 829
41.87, 465
50.39, 205
51.40, 366
54.34, 144
58.89, 175
62.47, 109
67.53, 163
70.04, 137
81.13, 104

***

7.
The following is a simulated powder diffractogram of La2Tc12B7. It was derived from the PBE geometry in Alexandria, using Cu Kα, 1.54184 Å.

Cell and atoms:
a b c (Å): 10.2147 10.2147 3.0829
angles (deg): 90.00 90.00 120.00
Space group P-3 (No. 147)
Inequivalent atoms, fractional coordinates:
La1 0.3333 0.6667 0.2488
Tc1 0.0501 0.6208 0.7489
Tc2 0.1141 0.8650 0.2576
B1 0.0000 0.0000 0.5000
B2 0.1139 0.4051 0.7483

Top 12 peaks for 10° ≤ 2θ ≤ 90°, low angle first:
2θ/deg, intensity
26.66, 377
33.97, 134
36.63, 110
39.77, 1000
40.80, 105
42.42, 99
44.65, 244
47.08, 140
47.35, 114
63.28, 119
70.85, 102
77.82, 106

***

8.
The following is a simulated powder diffractogram of InTeO4. It was derived from the PBE geometry in Alexandria, using Cu Kα, 1.54184 Å.

Cell and atoms:
a b c (Å): 5.3557 4.7617 12.6983
angles (deg): 90.00 90.03 90.00
Space group Pc (No. 7)
Inequivalent atoms, fractional coordinates:
In1 0.0000 0.2492 0.0000
In2 0.5000 0.2497 0.6580
Te1 0.0003 0.2506 0.2517
Te2 0.5001 0.2510 0.4040
O1 0.1615 0.4740 0.1388
O2 0.2071 0.4915 0.3902
O3 0.3408 0.0332 0.5146
O4 0.3463 0.0210 0.2856
O5 0.6527 0.4805 0.2857
O6 0.6598 0.4678 0.5147
O7 0.7928 0.0099 0.3901
O8 0.8395 0.0251 0.1391

Top 12 peaks for 10° ≤ 2θ ≤ 90°, low angle first:
2θ/deg, intensity
19.91, 132
26.00, 1000
28.19, 307
32.81, 509
32.89, 126
33.46, 207
40.24, 144
44.30, 198
50.88, 364
51.35, 207
53.31, 137
59.41, 185

***

9.
The following is a simulated powder diffractogram of Zn2Cd9Hg3. It was derived from the PBE geometry in Alexandria, using Cu Kα, 1.54184 Å.

Cell and atoms:
a b c (Å): 5.2557 7.9010 7.9015
angles (deg): 84.87 88.50 88.51
Space group P-1 (No. 2)
Inequivalent atoms, fractional coordinates:
Zn1 0.0004 0.1245 0.3749
Cd1 0.1214 0.2274 0.0185
Cd2 0.1214 0.5191 0.7276
Cd3 0.3754 0.3660 0.4159
Cd4 0.3758 0.9156 0.8661
Cd5 0.5000 0.0000 0.5000
Hg1 0.2183 0.7784 0.2789
Hg2 0.5000 0.5000 0.0000

Top 12 peaks for 10° ≤ 2θ ≤ 90°, low angle first:
2θ/deg, intensity
28.68, 786
30.28, 725
31.19, 1000
34.19, 210
35.10, 919
37.05, 1000
37.85, 500
38.69, 437
40.77, 366
41.81, 580
42.73, 287
62.20, 296

***

10.
The following is a simulated powder diffractogram of KLiSnF4. It was derived from the PBE geometry in Alexandria, using Cu Kα, 1.54184 Å.

Cell and atoms:
a b c (Å): 6.2138 5.9188 7.2715
angles (deg): 90.00 110.37 90.00
Space group P2_1/m (No. 11)
Inequivalent atoms, fractional coordinates:
K1 0.2366 0.2500 0.0460
Li1 0.4930 0.2500 0.7184
Sn1 0.2091 0.7500 0.5448
F1 0.1897 0.7500 0.2025
F2 0.3471 0.5037 0.7758
F3 0.4462 0.2500 0.4449

Top 12 peaks for 10° ≤ 2θ ≤ 90°, low angle first:
2θ/deg, intensity
12.99, 572
21.40, 420
22.13, 1000
25.27, 248
27.79, 571
30.21, 427
30.70, 267
32.64, 187
33.00, 179
40.36, 298
42.62, 214
43.87, 247

***

11.
The following is a simulated powder diffractogram of Mg7GaAg12. It was derived from the PBE geometry in Alexandria, using Cu Kα, 1.54184 Å.

Cell and atoms:
a b c (Å): 4.6756 4.6756 57.4185
angles (deg): 90.00 90.00 120.00
Space group R3m (No. 160, hexagonal axes)
Inequivalent atoms, fractional coordinates:
Mg1 0.0000 0.0000 0.0000
Mg2 0.0000 0.0000 0.1001
Mg3 0.0000 0.0000 0.2978
Mg4 0.0000 0.0000 0.4003
Mg5 0.0000 0.0000 0.5009
Mg6 0.0000 0.0000 0.7003
Mg7 0.0000 0.0000 0.8984
Ga1 0.0000 0.0000 0.7994
Ag1 0.0000 0.0000 0.0508
Ag2 0.0000 0.0000 0.1488
Ag3 0.0000 0.0000 0.1988
Ag4 0.0000 0.0000 0.2487
Ag5 0.0000 0.0000 0.3490
Ag6 0.0000 0.0000 0.4507
Ag7 0.0000 0.0000 0.5499
Ag8 0.0000 0.0000 0.5998
Ag9 0.0000 0.0000 0.6502
Ag10 0.0000 0.0000 0.7507
Ag11 0.0000 0.0000 0.8480
Ag12 0.0000 0.0000 0.9495

Top 12 peaks for 10° ≤ 2θ ≤ 90°, low angle first:
2θ/deg, intensity
23.28, 47
26.94, 212
38.47, 1000
45.45, 24
47.63, 43
55.54, 162
62.79, 70
69.47, 77
69.63, 240
82.35, 48
82.53, 51
88.72, 29

***

12.
The following is a simulated powder diffractogram of K3Ge2Cl7. It was derived from the PBE geometry in Alexandria, using Cu Kα, 1.54184 Å.

Cell and atoms:
a b c (Å): 5.2705 5.2705 26.3150
angles (deg): 90.00 90.00 90.00
Space group I4/mmm (No. 139)
Inequivalent atoms, fractional coordinates:
K1 0.0000 0.0000 0.0000
K2 0.0000 0.0000 0.1807
Ge1 0.0000 0.0000 0.3968
Cl1 0.0000 0.0000 0.2989
Cl2 0.0000 0.0000 0.5000
Cl3 0.0000 0.5000 0.1009

Top 12 peaks for 10° ≤ 2θ ≤ 90°, low angle first:
2θ/deg, intensity
13.46, 335
17.16, 311
23.88, 662
31.50, 191
34.03, 1000
35.10, 221
36.74, 108
42.01, 227
48.90, 598
49.68, 154
60.92, 179
81.72, 170